Entry 1:
This entry pairs a crystal structure of PuSi2Pb2Au7 with its calculated powder diffraction line list. Radiation: λ = 1.5418 Å (Cu Kα). Structure: the GGA-PBE geometry in Alexandria.
Neutral-atom scattering factors, no anomalous dispersion.

Largest 10 diffraction maxima, by angle, 10 to 90 degrees two-theta:
2θ = 30.2°, d = 2.963 Å, rel. 64, (0 2 2); 2θ = 32.2°, d = 2.778 Å, rel. 65, (2 0 -3); 2θ = 33.2°, d = 2.702 Å, rel. 100, (2 0 2); 2θ = 34.9°, d = 2.573 Å, rel. 90, (0 2 3); 2θ = 37.3°, d = 2.411 Å, rel. 87, (2 2 -1); 2θ = 37.5°, d = 2.401 Å, rel. 23, (2 2 0); 2θ = 38.8°, d = 2.318 Å, rel. 61, (0 0 5); 2θ = 39.3°, d = 2.295 Å, rel. 20, (2 2 1); 2θ = 52.4°, d = 1.745 Å, rel. 20, (2 2 4); 2θ = 63.5°, d = 1.464 Å, rel. 28, (2 4 -3)

abc: 6.794 6.896 11.769
angles: 90.00 99.97 90.00
Space group C2/m (No. 12)
Symmetry-distinct sites (fractional):
Pu (0.000, 0.000, 0.000)
Si (0.188, 0.500, 0.213)
Pb (0.123, 0.000, 0.384)
Au (0.000, 0.500, 0.000)
Au (0.082, 0.500, 0.401)
Au (0.145, 0.293, 0.820)


Entry 2:
This entry pairs a crystal structure of Rb2In5Bi3 with its calculated powder diffraction line list. Radiation: λ = 1.5418 Å (Cu Kα). Structure: the GGA-PBE geometry in Alexandria.
Neutral-atom scattering factors, no anomalous dispersion.

Largest 10 diffraction maxima, by angle, 10 to 90 degrees two-theta:
2θ = 14.5°, d = 6.094 Å, rel. 24, (0 2 0); 2θ = 17.7°, d = 5.012 Å, rel. 33, (3 1 -1); 2θ = 27.1°, d = 3.295 Å, rel. 42, (4 2 0); 2θ = 27.3°, d = 3.265 Å, rel. 100, (2 2 -2); 2θ = 32.5°, d = 2.757 Å, rel. 46, (2 0 2); 2θ = 32.7°, d = 2.742 Å, rel. 45, (6 0 -2); 2θ = 37.4°, d = 2.405 Å, rel. 35, (4 4 0); 2θ = 37.6°, d = 2.392 Å, rel. 37, (2 4 -2); 2θ = 40.5°, d = 2.229 Å, rel. 21, (1 5 1); 2θ = 46.4°, d = 1.959 Å, rel. 18, (8 0 0)

abc: 17.432 12.188 7.720
angles: 90.00 115.99 90.00
Space group C2/c (No. 15)
Symmetry-distinct sites (fractional):
Rb (0.123, 0.250, 0.123)
In (0.000, 0.000, 0.250)
In (0.130, 0.384, 0.631)
In (0.249, 0.499, 0.999)
Bi (0.000, 0.499, 0.250)
Bi (0.128, 0.130, 0.627)


Entry 3:
This entry pairs a crystal structure of Li3Pm5Te8 with its calculated powder diffraction line list. Radiation: λ = 1.5418 Å (Cu Kα). Structure: the GGA-PBE geometry in Alexandria.
Neutral-atom scattering factors, no anomalous dispersion.

Largest 10 diffraction maxima, by angle, 10 to 90 degrees two-theta:
2θ = 12.3°, d = 7.203 Å, rel. 13, (0 0 3); 2θ = 23.6°, d = 3.765 Å, rel. 14, (0 2 1); 2θ = 28.6°, d = 3.121 Å, rel. 100, (0 2 4); 2θ = 31.2°, d = 2.864 Å, rel. 10, (2 0 5); 2θ = 40.9°, d = 2.207 Å, rel. 75, (2 2 0); 2θ = 50.7°, d = 1.802 Å, rel. 27, (4 0 4); 2θ = 59.2°, d = 1.561 Å, rel. 12, (0 4 8); 2θ = 67.1°, d = 1.396 Å, rel. 34, (2 4 4); 2θ = 74.4°, d = 1.275 Å, rel. 19, (6 0 0); 2θ = 74.5°, d = 1.273 Å, rel. 6, (0 2 16)

abc: 8.8323 8.8323 21.6001
angles: 90.00 90.00 120.00
Space group R-3m (No. 166, hexagonal axes)
Symmetry-distinct sites (fractional):
Li (0.0000, 0.5000, 0.0000)
Pm (0.0000, 0.0000, 0.0000)
Pm (0.0000, 0.0000, 0.5000)
Pm (0.0000, 0.5000, 0.5000)
Te (0.0000, 0.0000, 0.2538)
Te (0.0070, 0.5035, 0.2535)


Entry 4:
This entry pairs a crystal structure of Sr2DyPt9 with its calculated powder diffraction line list. Radiation: λ = 1.5418 Å (Cu Kα). Structure: the GGA-PBE geometry in Alexandria.
Neutral-atom scattering factors, no anomalous dispersion.

Largest 10 diffraction maxima, by angle, 10 to 90 degrees two-theta:
2θ = 19.1°, d = 4.652 Å, rel. 37, (1 0 1); 2θ = 38.3°, d = 2.352 Å, rel. 28, (0 2 1); 2θ = 38.6°, d = 2.334 Å, rel. 100, (1 1 6); 2θ = 38.7°, d = 2.326 Å, rel. 17, (2 0 2); 2θ = 40.0°, d = 2.256 Å, rel. 34, (0 0 12); 2θ = 41.7°, d = 2.164 Å, rel. 42, (2 0 5); 2θ = 45.0°, d = 2.015 Å, rel. 25, (0 2 7); 2θ = 62.5°, d = 1.486 Å, rel. 25, (3 0 6); 2θ = 68.9°, d = 1.363 Å, rel. 27, (2 2 0); 2θ = 82.7°, d = 1.167 Å, rel. 26, (2 2 12)

abc: 5.4529 5.4529 27.0755
angles: 90.00 90.00 120.00
Space group R-3m (No. 166, hexagonal axes)
Symmetry-distinct sites (fractional):
Sr (0.0000, 0.0000, 0.1414)
Dy (0.0000, 0.0000, 0.0000)
Pt (0.0000, 0.0000, 0.3328)
Pt (0.0000, 0.0000, 0.5000)
Pt (0.0017, 0.5008, 0.9178)


Entry 5:
This entry pairs a crystal structure of Sm2Al4Ni3Pt with its calculated powder diffraction line list. Radiation: λ = 1.5418 Å (Cu Kα). Structure: the GGA-PBE geometry in Alexandria.
Neutral-atom scattering factors, no anomalous dispersion.

Largest 10 diffraction maxima, by angle, 10 to 90 degrees two-theta:
2θ = 23.5°, d = 3.788 Å, rel. 30, (1 0 1); 2θ = 25.3°, d = 3.525 Å, rel. 15, (0 0 3); 2θ = 32.3°, d = 2.769 Å, rel. 24, (1 1 1); 2θ = 33.7°, d = 2.661 Å, rel. 52, (1 0 3); 2θ = 35.6°, d = 2.522 Å, rel. 100, (1 1 2); 2θ = 44.7°, d = 2.029 Å, rel. 42, (2 0 0); 2θ = 48.5°, d = 1.875 Å, rel. 23, (1 0 5); 2θ = 57.1°, d = 1.613 Å, rel. 23, (2 1 3); 2θ = 68.1°, d = 1.377 Å, rel. 16, (2 1 5); 2θ = 76.4°, d = 1.247 Å, rel. 21, (3 1 2)

abc: 4.057 4.057 10.574
angles: 90.00 90.00 90.00
Space group P-4m2 (No. 115)
Symmetry-distinct sites (fractional):
Sm (0.000, 0.500, 0.241)
Al (0.000, 0.000, 0.000)
Al (0.000, 0.500, 0.634)
Al (0.500, 0.500, 0.000)
Ni (0.000, 0.500, 0.866)
Ni (0.500, 0.500, 0.500)
Pt (0.000, 0.000, 0.500)


Entry 6:
This entry pairs a crystal structure of SrZr2NpO8 with its calculated powder diffraction line list. Radiation: λ = 1.5418 Å (Cu Kα). Structure: the GGA-PBE geometry in Alexandria.
Neutral-atom scattering factors, no anomalous dispersion.

Largest 10 diffraction maxima, by angle, 10 to 90 degrees two-theta:
2θ = 13.0°, d = 6.830 Å, rel. 21, (0 1 0); 2θ = 21.8°, d = 4.079 Å, rel. 29, (0 1 1); 2θ = 24.5°, d = 3.640 Å, rel. 63, (1 0 -1); 2θ = 25.1°, d = 3.554 Å, rel. 57, (1 0 1); 2θ = 31.6°, d = 2.835 Å, rel. 100, (1 2 0); 2θ = 35.3°, d = 2.543 Å, rel. 29, (0 0 2); 2θ = 47.7°, d = 1.906 Å, rel. 44, (2 2 -1); 2θ = 48.4°, d = 1.881 Å, rel. 39, (2 2 1); 2θ = 61.0°, d = 1.518 Å, rel. 25, (0 2 3); 2θ = 82.8°, d = 1.166 Å, rel. 15, (1 2 -4)

abc: 5.085 6.830 5.089
angles: 90.00 91.37 90.00
Space group P2/m (No. 10)
Symmetry-distinct sites (fractional):
Sr (0.000, 0.000, 0.000)
Zr (0.500, 0.244, 0.500)
Np (0.000, 0.500, 0.000)
O (0.204, 0.288, 0.203)
O (0.299, 0.500, 0.700)
O (0.327, 0.000, 0.671)


Entry 7:
This entry pairs a crystal structure of Cs2TeSeI6 with its calculated powder diffraction line list. Radiation: λ = 1.5418 Å (Cu Kα). Structure: the GGA-PBE geometry in Alexandria.
Neutral-atom scattering factors, no anomalous dispersion.

Largest 10 diffraction maxima, by angle, 10 to 90 degrees two-theta:
2θ = 25.3°, d = 3.514 Å, rel. 100, (2 0 2); 2θ = 29.1°, d = 3.067 Å, rel. 79, (2 2 0); 2θ = 29.8°, d = 2.997 Å, rel. 37, (0 0 4); 2θ = 41.6°, d = 2.169 Å, rel. 30, (4 0 0); 2θ = 42.2°, d = 2.144 Å, rel. 57, (2 2 4); 2θ = 49.4°, d = 1.845 Å, rel. 32, (4 2 2); 2θ = 50.3°, d = 1.815 Å, rel. 15, (2 0 6); 2θ = 52.1°, d = 1.757 Å, rel. 31, (4 0 4); 2θ = 68.4°, d = 1.371 Å, rel. 13, (6 2 0); 2θ = 76.4°, d = 1.247 Å, rel. 20, (6 2 4)

abc: 8.674 8.674 11.989
angles: 90.00 90.00 90.00
Space group I4/mmm (No. 139)
Symmetry-distinct sites (fractional):
Cs (0.000, 0.500, 0.250)
Te (0.000, 0.000, 0.000)
Se (0.000, 0.000, 0.500)
I (0.000, 0.000, 0.255)
I (0.248, 0.248, 0.500)


Entry 8:
This entry pairs a crystal structure of U2TlPdS4 with its calculated powder diffraction line list. Radiation: λ = 1.5418 Å (Cu Kα). Structure: the GGA-PBE geometry in Alexandria.
Neutral-atom scattering factors, no anomalous dispersion.

Largest 10 diffraction maxima, by angle, 10 to 90 degrees two-theta:
2θ = 23.3°, d = 3.825 Å, rel. 100, (0 2 3); 2θ = 26.5°, d = 3.367 Å, rel. 67, (1 1 2); 2θ = 26.8°, d = 3.329 Å, rel. 46, (0 4 0); 2θ = 30.7°, d = 2.910 Å, rel. 54, (1 3 1); 2θ = 32.7°, d = 2.739 Å, rel. 85, (1 3 2); 2θ = 34.7°, d = 2.585 Å, rel. 30, (0 2 5); 2θ = 38.5°, d = 2.335 Å, rel. 28, (0 0 6); 2θ = 39.8°, d = 2.265 Å, rel. 34, (1 1 5); 2θ = 44.4°, d = 2.040 Å, rel. 31, (1 3 5); 2θ = 45.2°, d = 2.004 Å, rel. 85, (2 0 0)

abc: 4.009 13.317 14.012
angles: 90.00 90.00 90.00
Space group Cmcm (No. 63)
Symmetry-distinct sites (fractional):
U (0.000, 0.132, 0.066)
Tl (0.000, 0.387, 0.250)
Pd (0.000, 0.324, 0.750)
S (0.000, 0.069, 0.250)
S (0.000, 0.235, 0.600)
S (0.000, 0.500, 0.000)